Record 1
The following is a calculated PXRD pattern of Cs3Pa3Te8Au. It was derived from a structure optimized by DFT (PBE), using λ = 1.5418 Å (Cu Kα).
Intensities are scaled so that the largest is 100.

Crystal structure
a = 14.527 Å, b = 9.604 Å, c = 9.860 Å
α = 90.00°, β = 114.30°, γ = 90.00°
Space group C2/m (No. 12)
Asymmetric unit:
Cs1 0.000 0.000 0.000 [2 per cell]
Cs2 0.250 0.250 0.000 [4 per cell]
Pa1 0.000 0.500 0.500 [2 per cell]
Pa2 0.250 0.250 0.500 [4 per cell]
Te1 0.032 0.287 0.292 [8 per cell]
Te2 0.199 0.000 0.668 [4 per cell]
Te3 0.232 0.500 0.693 [4 per cell]
Au1 0.000 0.000 0.500 [2 per cell]

Principal peaks in the range 2θ = 10–90°, most intense first:
| d_spacing | 2θ (°) | I (rel.) | index |
| --- | --- | --- | --- |
| 3.370 | 26.45 | 100 | 2 2 -2 |
| 3.310 | 26.94 | 37 | 4 0 0 |
| 2.641 | 33.95 | 31 | 2 2 2 |
| 2.155 | 41.92 | 26 | 6 2 -2 |
| 2.135 | 42.33 | 20 | 2 2 3 |
| 2.401 | 37.46 | 18 | 0 4 0 |
| 2.366 | 38.04 | 18 | 4 0 -4 |
| 1.944 | 46.74 | 15 | 4 4 0 |
| 2.710 | 33.05 | 13 | 2 2 -3 |
| 2.759 | 32.45 | 12 | 4 0 1 |
| 1.685 | 54.45 | 10 | 4 4 -4 |
| 1.498 | 61.94 | 9 | 6 2 -6 |


Record 2
The following is a calculated PXRD pattern of BaTb2ReN4. It was derived from a structure optimized by DFT (PBE), using λ = 1.5418 Å (Cu Kα).
Intensities are scaled so that the largest is 100.

Crystal structure
a = 3.505 Å, b = 12.444 Å, c = 12.254 Å
α = 90.00°, β = 90.00°, γ = 90.00°
Space group Cmcm (No. 63)
Asymmetric unit:
Ba1 0.000 0.066 0.250 [4 per cell]
Tb1 0.000 0.371 0.040 [8 per cell]
Re1 0.000 0.195 0.750 [4 per cell]
N1 0.000 0.000 0.000 [4 per cell]
N2 0.000 0.256 0.609 [8 per cell]
N3 0.000 0.387 0.250 [4 per cell]

Principal peaks in the range 2θ = 10–90°, most intense first:
| d_spacing | 2θ (°) | I (rel.) | index |
| --- | --- | --- | --- |
| 2.956 | 30.24 | 100 | 1 1 2 |
| 2.453 | 36.63 | 55 | 1 3 2 |
| 2.616 | 34.28 | 53 | 1 3 1 |
| 3.063 | 29.15 | 53 | 0 0 4 |
| 3.015 | 29.63 | 43 | 0 4 1 |
| 1.808 | 50.48 | 35 | 1 3 5 |
| 2.601 | 34.48 | 35 | 1 1 3 |
| 2.774 | 32.27 | 25 | 0 4 2 |
| 5.548 | 15.98 | 24 | 0 2 1 |
| 2.280 | 39.52 | 22 | 0 2 5 |
| 1.817 | 50.20 | 22 | 1 5 3 |
| 2.475 | 36.30 | 21 | 0 4 3 |